[1]
Computed powder XRD pattern
Compound: Ho2ZnSn4
Radiation: Cu Kα
Structure: DFT lattice parameters and positions (GGA-PBE)

Structure:
```
7
Lattice="4.436 0.000 0.000 0.000 4.436 0.000 0.000 0.000 9.055" Properties=species:S:1:pos:R:3 pbc="T T T"
Ho 0.000 2.218 2.051
Ho 2.218 0.000 7.004
Zn 2.218 2.218 0.000
Sn 0.000 0.000 4.527
Sn 0.000 2.218 7.461
Sn 2.218 0.000 1.594
Sn 2.218 2.218 4.527
```

Main lines, sorted by position (10° ≤ 2θ ≤ 80°):
2θ = 29.60°, I = 19; 2θ = 30.15°, I = 26; 2θ = 34.80°, I = 100; 2θ = 35.99°, I = 10; 2θ = 40.68°, I = 43; 2θ = 51.11°, I = 18; 2θ = 58.89°, I = 27; 2θ = 70.25°, I = 27

[2]
Computed powder XRD pattern
Compound: SrHoTe2
Radiation: Cu Kα
Structure: DFT lattice parameters and positions (GGA-PBE)

Structure:
```
4
Lattice="2.198 1.269 7.882 -2.198 1.269 7.882 0.000 -2.539 7.882" Properties=species:S:1:pos:R:3 pbc="T T T"
Sr 0.000 0.000 0.000
Ho 0.000 0.000 4.086
Te 0.000 0.000 13.690
Te 0.000 0.000 18.010
```

Main lines, sorted by position (10° ≤ 2θ ≤ 80°):
2θ = 24.56°, I = 41; 2θ = 30.13°, I = 100; 2θ = 35.53°, I = 39; 2θ = 41.06°, I = 50; 2θ = 45.14°, I = 20; 2θ = 51.76°, I = 22; 2θ = 63.39°, I = 22; 2θ = 68.10°, I = 20

[3]
Computed powder XRD pattern
Compound: SrHo3Tl4
Radiation: Cu Kα
Structure: DFT lattice parameters and positions (GGA-PBE)

Structure:
```
16
Lattice="10.951 0.000 0.000 0.000 7.643 0.000 0.000 0.000 5.474" Properties=species:S:1:pos:R:3 pbc="T T T"
Sr 0.000 0.000 0.000
Sr 5.475 0.000 0.000
Ho 0.000 3.821 0.000
Ho 2.738 0.000 2.731
Ho 2.738 3.821 2.726
Ho 5.475 3.821 0.000
Ho 8.213 0.000 2.743
Ho 8.213 3.821 2.748
Tl 0.000 1.990 2.737
Tl 0.000 5.653 2.737
Tl 2.738 1.989 5.463
Tl 2.738 5.654 5.463
Tl 5.475 1.990 2.737
Tl 5.475 5.653 2.737
Tl 8.213 1.989 0.011
Tl 8.213 5.654 0.011
```

Main lines, sorted by position (10° ≤ 2θ ≤ 80°):
2θ = 32.72°, I = 51; 2θ = 32.94°, I = 100; 2θ = 46.94°, I = 19; 2θ = 47.59°, I = 9; 2θ = 58.53°, I = 39; 2θ = 58.95°, I = 19; 2θ = 69.08°, I = 12; 2θ = 78.06°, I = 9

[4]
Computed powder XRD pattern
Compound: Sr3HoTl12
Radiation: Cu Kα
Structure: DFT lattice parameters and positions (GGA-PBE)

Structure:
```
16
Lattice="4.961 0.000 0.000 0.000 4.961 0.000 0.000 0.000 19.532" Properties=species:S:1:pos:R:3 pbc="T T T"
Sr 0.000 0.000 0.000
Sr 0.000 0.000 5.039
Sr 0.000 0.000 14.493
Ho 0.000 0.000 9.766
Tl 0.000 2.481 2.503
Tl 0.000 2.481 7.489
Tl 0.000 2.481 12.043
Tl 0.000 2.481 17.029
Tl 2.481 0.000 2.503
Tl 2.481 0.000 7.489
Tl 2.481 0.000 12.043
Tl 2.481 0.000 17.029
Tl 2.481 2.481 0.000
Tl 2.481 2.481 4.913
Tl 2.481 2.481 9.766
Tl 2.481 2.481 14.619
```

Main lines, sorted by position (10° ≤ 2θ ≤ 80°):
2θ = 31.40°, I = 100; 2θ = 36.21°, I = 35; 2θ = 36.81°, I = 16; 2θ = 52.14°, I = 12; 2θ = 52.59°, I = 23; 2θ = 62.14°, I = 29; 2θ = 62.95°, I = 12; 2θ = 65.52°, I = 12

[5]
Computed powder XRD pattern
Compound: SrHo4Tl4
Radiation: Cu Kα
Structure: DFT lattice parameters and positions (GGA-PBE)

Structure:
```
18
Lattice="10.097 0.000 0.000 0.000 10.097 0.000 0.000 0.000 6.145" Properties=species:S:1:pos:R:3 pbc="T T T"
Sr 2.524 2.524 1.536
Sr 7.573 7.573 4.609
Ho 1.015 6.504 0.908
Ho 1.455 9.082 3.981
Ho 3.593 6.063 3.981
Ho 4.034 8.642 0.908
Ho 6.063 1.455 5.237
Ho 6.504 4.034 2.164
Ho 8.642 1.015 2.164
Ho 9.082 3.593 5.237
Tl 0.470 6.087 4.035
Tl 1.038 9.627 0.962
Tl 4.011 5.519 0.962
Tl 4.578 9.059 4.035
Tl 5.519 1.038 2.110
Tl 6.087 4.578 5.183
Tl 9.059 0.470 5.183
Tl 9.627 4.011 2.110
```

Main lines, sorted by position (10° ≤ 2θ ≤ 80°):
2θ = 12.40°, I = 53; 2θ = 17.57°, I = 28; 2θ = 27.94°, I = 100; 2θ = 30.41°, I = 61; 2θ = 35.22°, I = 33; 2θ = 39.62°, I = 26; 2θ = 39.72°, I = 57; 2θ = 43.74°, I = 27

[6]
Computed powder XRD pattern
Compound: Tb13Ho2
Radiation: Cu Kα
Structure: DFT lattice parameters and positions (GGA-PBE)

Structure:
```
15
Lattice="6.605 0.000 0.000 1.280 8.829 0.000 1.280 3.494 8.111" Properties=species:S:1:pos:R:3 pbc="T T T"
Tb 0.000 0.000 0.000
Tb 2.218 6.540 6.149
Tb 1.819 2.463 1.635
Tb 3.997 8.954 7.908
Tb 4.071 10.695 5.178
Tb 3.658 4.929 3.259
Tb 4.546 4.403 6.773
Tb 4.619 7.919 1.338
Tb 5.508 7.394 4.853
Tb 5.095 1.627 2.933
Tb 5.169 3.369 0.204
Tb 7.347 9.860 6.476
Tb 6.948 5.783 1.962
Ho 2.179 8.332 3.455
Ho 6.986 3.990 4.657
```

Main lines, sorted by position (10° ≤ 2θ ≤ 80°):
2θ = 31.67°, I = 91; 2θ = 31.92°, I = 100; 2θ = 45.58°, I = 33; 2θ = 56.73°, I = 29; 2θ = 56.88°, I = 19; 2θ = 62.90°, I = 14; 2θ = 62.99°, I = 14; 2θ = 66.72°, I = 12

[7]
Computed powder XRD pattern
Compound: TbHo7
Radiation: Cu Kα
Structure: DFT lattice parameters and positions (GGA-PBE)

Structure:
```
8
Lattice="-1.748 5.511 6.449 1.748 -5.511 6.449 1.748 5.511 -6.449" Properties=species:S:1:pos:R:3 pbc="T T T"
Tb 0.000 0.000 0.000
Ho 1.748 2.968 -1.713
Ho 1.748 0.000 3.111
Ho 1.748 2.968 1.713
Ho 0.000 5.511 0.000
Ho 0.000 2.542 4.736
Ho 0.000 5.511 3.338
Ho 0.000 2.542 8.163
```

Main lines, sorted by position (10° ≤ 2θ ≤ 80°):
2θ = 31.07°, I = 73; 2θ = 32.16°, I = 100; 2θ = 32.49°, I = 46; 2θ = 33.02°, I = 47; 2θ = 47.01°, I = 31; 2θ = 57.08°, I = 31; 2θ = 59.10°, I = 24; 2θ = 62.76°, I = 31

[8]
Computed powder XRD pattern
Compound: Tb3Ho13
Radiation: Cu Kα
Structure: DFT lattice parameters and positions (GGA-PBE)

Structure:
```
16
Lattice="9.952 0.000 0.000 0.000 4.983 4.983 0.000 -4.983 4.983" Properties=species:S:1:pos:R:3 pbc="T T T"
Tb 0.000 0.000 0.000
Tb 2.489 0.000 2.497
Tb 7.462 0.000 2.497
Ho 0.000 2.487 7.479
Ho 0.000 -2.487 7.479
Ho 0.000 0.000 4.992
Ho 2.491 -2.489 4.988
Ho 2.491 2.489 4.988
Ho 2.492 0.000 7.478
Ho 4.976 0.000 0.001
Ho 4.976 -2.495 2.496
Ho 4.976 2.495 2.496
Ho 4.976 0.000 4.991
Ho 7.461 -2.489 4.988
Ho 7.461 2.489 4.988
Ho 7.460 0.000 7.478
```

Main lines, sorted by position (10° ≤ 2θ ≤ 80°):
2θ = 31.10°, I = 100; 2θ = 36.07°, I = 51; 2θ = 51.93°, I = 36; 2θ = 61.77°, I = 43; 2θ = 64.85°, I = 12; 2θ = 76.46°, I = 4; 2θ = 76.59°, I = 2

[9]
Computed powder XRD pattern
Compound: Tb5Ho2
Radiation: Cu Kα
Structure: DFT lattice parameters and positions (GGA-PBE)

Structure:
```
7
Lattice="3.536 0.000 0.000 -1.767 7.741 0.000 -0.015 -3.269 8.035" Properties=species:S:1:pos:R:3 pbc="T T T"
Tb 0.000 0.000 0.000
Tb -0.006 0.813 3.443
Tb -0.004 5.697 2.290
Tb 1.757 -1.225 5.745
Tb 1.759 3.659 4.592
Ho -0.014 1.620 6.890
Ho 1.767 2.853 1.145
```

Main lines, sorted by position (10° ≤ 2θ ≤ 80°):
2θ = 30.92°, I = 100; 2θ = 35.75°, I = 17; 2θ = 35.91°, I = 34; 2θ = 51.57°, I = 24; 2θ = 51.69°, I = 12; 2θ = 61.25°, I = 14; 2θ = 61.43°, I = 18; 2θ = 64.44°, I = 12

[10]
Computed powder XRD pattern
Compound: Tb3Ho8
Radiation: Cu Kα
Structure: DFT lattice parameters and positions (GGA-PBE)

Structure:
```
11
Lattice="1.764 1.018 31.587 -1.764 1.018 31.587 0.000 -2.036 31.587" Properties=species:S:1:pos:R:3 pbc="T T T"
Tb 0.000 0.000 0.000
Tb 0.000 0.000 25.825
Tb 0.000 0.000 68.936
Ho 0.000 0.000 8.642
Ho 0.000 0.000 17.224
Ho 0.000 0.000 34.468
Ho 0.000 0.000 43.088
Ho 0.000 0.000 51.672
Ho 0.000 0.000 60.292
Ho 0.000 0.000 77.536
Ho 0.000 0.000 86.118
```

Main lines, sorted by position (10° ≤ 2θ ≤ 80°):
2θ = 31.08°, I = 100; 2θ = 36.05°, I = 51; 2θ = 51.84°, I = 18; 2θ = 51.95°, I = 18; 2θ = 61.71°, I = 32; 2θ = 61.82°, I = 11; 2θ = 64.76°, I = 9; 2θ = 76.46°, I = 6

[11]
Computed powder XRD pattern
Compound: TbHo2
Radiation: Cu Kα
Structure: DFT lattice parameters and positions (GGA-PBE)

Structure:
```
6
Lattice="5.404 -3.121 0.000 5.404 3.121 0.000 -3.602 0.000 5.618" Properties=species:S:1:pos:R:3 pbc="T T T"
Tb 2.702 2.594 4.214
Tb 4.503 -2.594 1.405
Ho 2.706 0.521 1.402
Ho 0.904 -0.521 4.211
Ho 6.301 0.521 1.407
Ho 4.500 -0.521 4.216
```

Main lines, sorted by position (10° ≤ 2θ ≤ 80°):
2θ = 28.61°, I = 24; 2θ = 31.86°, I = 24; 2θ = 32.83°, I = 100; 2θ = 43.34°, I = 16; 2θ = 50.67°, I = 20; 2θ = 57.38°, I = 20; 2θ = 61.11°, I = 23; 2θ = 61.70°, I = 16

[12]
Computed powder XRD pattern
Compound: Tb3Ho13
Radiation: Cu Kα
Structure: DFT lattice parameters and positions (GGA-PBE)

Structure:
```
16
Lattice="7.214 0.000 0.000 0.000 5.589 6.236 0.000 -5.589 6.236" Properties=species:S:1:pos:R:3 pbc="T T T"
Tb 0.000 0.000 0.000
Tb 1.806 0.000 9.344
Tb 5.407 0.000 9.344
Ho 0.000 -2.798 8.312
Ho 0.000 0.000 6.226
Ho 0.000 2.798 8.312
Ho 1.805 -2.787 5.194
Ho 1.804 0.000 3.116
Ho 1.805 2.787 5.194
Ho 3.607 0.000 12.472
Ho 3.607 -2.804 8.312
Ho 3.607 0.000 6.227
Ho 3.607 2.804 8.312
Ho 5.408 -2.787 5.194
Ho 5.410 0.000 3.116
Ho 5.408 2.787 5.194
```

Main lines, sorted by position (10° ≤ 2θ ≤ 80°):
2θ = 28.60°, I = 24; 2θ = 32.03°, I = 24; 2θ = 32.87°, I = 100; 2θ = 43.47°, I = 15; 2θ = 50.66°, I = 20; 2θ = 57.62°, I = 20; 2θ = 61.20°, I = 23; 2θ = 61.72°, I = 16

[13]
Computed powder XRD pattern
Compound: Tb3Ho4
Radiation: Cu Kα
Structure: DFT lattice parameters and positions (GGA-PBE)

Structure:
```
7
Lattice="-1.763 2.498 12.371 1.763 -2.498 12.371 1.763 2.498 -12.371" Properties=species:S:1:pos:R:3 pbc="T T T"
Tb 0.000 0.000 0.000
Tb 0.000 0.000 3.536
Tb 0.000 0.000 21.206
Ho 0.000 0.000 7.064
Ho 0.000 0.000 10.602
Ho 0.000 0.000 14.140
Ho 0.000 0.000 17.677
```

Main lines, sorted by position (10° ≤ 2θ ≤ 80°):
2θ = 31.02°, I = 100; 2θ = 35.97°, I = 51; 2θ = 51.77°, I = 30; 2θ = 51.86°, I = 6; 2θ = 61.60°, I = 43; 2θ = 64.60°, I = 6; 2θ = 64.72°, I = 6; 2θ = 76.27°, I = 6